(1)
Starting from a crystal structure in Alexandria, relaxed with GGA-PBE, the XRD peak list of ErGe3Rh was simulated for CuKα.
Intensities are scaled so that the largest is 100.

Largest 12 diffraction maxima, sorted by position, 10° ≤ 2θ ≤ 80°:
2θ/deg, d (Å), Rel. int., index
21.3, 4.165, 23, 1 0 1
26.7, 3.336, 32, 1 1 1
30.0, 2.980, 17, 2 0 0
30.7, 2.911, 23, 0 0 2
34.8, 2.580, 20, 0 1 2
35.6, 2.525, 18, 1 2 0
35.7, 2.514, 60, 0 2 1
37.6, 2.395, 100, 2 1 1
38.0, 2.368, 34, 1 1 2
46.6, 1.951, 35, 2 1 2
47.3, 1.922, 19, 2 2 1
67.5, 1.387, 28, 2 3 2

Atomic structure:
```
data_ErGe3Rh
_chemical_formula_sum 'Er2 Ge6 Rh2'
_symmetry_space_group_name_H-M 'P m n 21'
_symmetry_Int_Tables_number 31
_cell_length_a 5.9595
_cell_length_b 5.5749
_cell_length_c 5.8219
_cell_angle_alpha 90.00
_cell_angle_beta 90.00
_cell_angle_gamma 90.00
loop_
_symmetry_equiv_pos_as_xyz
'x,y,z'
'-x+1/2,-y,z+1/2'
'-x,y,z'
'x+1/2,-y,z+1/2'
loop_
_atom_site_label
_atom_site_type_symbol
_atom_site_fract_x
_atom_site_fract_y
_atom_site_fract_z
Er1 Er 0.0000 0.1512 0.0000
Ge1 Ge 0.0000 0.9036 0.5713
Ge2 Ge 0.2364 0.3144 0.4538
Rh1 Rh 0.0000 0.6203 0.2642
```



(2)
Starting from a crystal structure in Alexandria, relaxed with GGA-PBE, the XRD peak list of Er2Ge3Rh5 was simulated for CuKα.
Intensities are scaled so that the largest is 100.

Largest 12 diffraction maxima, sorted by position, 10° ≤ 2θ ≤ 80°:
2θ/deg, d (Å), Rel. int., index
34.8, 2.575, 25, 0 6 2
36.3, 2.473, 61, 1 7 1
36.5, 2.464, 100, 1 3 2
39.2, 2.298, 27, 0 10 1
39.7, 2.269, 30, 1 9 0
43.5, 2.082, 24, 0 4 3
44.0, 2.056, 39, 2 0 0
60.4, 1.532, 15, 2 10 1
63.6, 1.463, 12, 2 4 3
69.1, 1.360, 8, 1 17 0
69.3, 1.355, 21, 1 13 3
76.0, 1.252, 20, 3 3 2

Atomic structure:
```
data_Er2Ge3Rh5
_chemical_formula_sum 'Er8 Ge12 Rh20'
_symmetry_space_group_name_H-M 'C m c 21'
_symmetry_Int_Tables_number 36
_cell_length_a 4.1117
_cell_length_b 24.4937
_cell_length_c 6.6467
_cell_angle_alpha 90.00
_cell_angle_beta 90.00
_cell_angle_gamma 90.00
loop_
_symmetry_equiv_pos_as_xyz
'x,y,z'
'-x,-y,z+1/2'
'-x,y,z'
'x,-y,z+1/2'
'x+1/2,y+1/2,z'
'-x+1/2,-y+1/2,z+1/2'
'-x+1/2,y+1/2,z'
'x+1/2,-y+1/2,z+1/2'
loop_
_atom_site_label
_atom_site_type_symbol
_atom_site_fract_x
_atom_site_fract_y
_atom_site_fract_z
Er1 Er 0.0000 0.0189 0.0000
Er2 Er 0.0000 0.3256 0.0092
Ge1 Ge 0.0000 0.1115 0.7521
Ge2 Ge 0.0000 0.2708 0.5197
Ge3 Ge 0.0000 0.4531 0.7869
Rh1 Rh 0.0000 0.0996 0.3535
Rh2 Rh 0.0000 0.2068 0.2299
Rh3 Rh 0.0000 0.2094 0.8149
Rh4 Rh 0.0000 0.3716 0.5308
Rh5 Rh 0.0000 0.4436 0.1620
```



(3)
Starting from a crystal structure in Alexandria, relaxed with GGA-PBE, the XRD peak list of Er2ScGe2Rh5 was simulated for CuKα.
Intensities are scaled so that the largest is 100.

Largest 12 diffraction maxima, sorted by position, 10° ≤ 2θ ≤ 80°:
2θ/deg, d (Å), Rel. int., index
12.7, 6.944, 18, 1 1 0
32.2, 2.784, 40, 2 1 1
35.9, 2.499, 20, 2 2 1
37.8, 2.382, 64, 4 1 0
38.3, 2.351, 100, 3 1 1
38.9, 2.315, 29, 3 3 0
41.1, 2.196, 17, 4 2 0
41.6, 2.172, 40, 3 2 1
44.7, 2.028, 23, 4 0 1
50.7, 1.800, 25, 0 0 2
64.9, 1.436, 26, 4 1 2
66.2, 1.411, 16, 5 4 1

Atomic structure:
```
data_Er2ScGe2Rh5
_chemical_formula_sum 'Er4 Sc2 Ge4 Rh10'
_symmetry_space_group_name_H-M 'P 4/m b m'
_symmetry_Int_Tables_number 127
_symmetry_space_group_name_Hall '-P 4 2ab'
_cell_length_a 9.8205
_cell_length_b 9.8205
_cell_length_c 3.5996
_cell_angle_alpha 90.00
_cell_angle_beta 90.00
_cell_angle_gamma 90.00
loop_
_atom_site_label
_atom_site_type_symbol
_atom_site_fract_x
_atom_site_fract_y
_atom_site_fract_z
Er1 Er 0.1730 0.3270 0.0000
Sc1 Sc 0.0000 0.0000 0.0000
Ge1 Ge 0.1251 0.6251 0.0000
Rh1 Rh 0.0000 0.5000 0.5000
Rh2 Rh 0.0683 0.7893 0.5000
```



(4)
Starting from a crystal structure in Alexandria, relaxed with GGA-PBE, the XRD peak list of ErSiGeRh2 was simulated for CuKα.
Intensities are scaled so that the largest is 100.

Largest 12 diffraction maxima, sorted by position, 10° ≤ 2θ ≤ 80°:
2θ/deg, d (Å), Rel. int., index
14.2, 6.239, 89, 0 0 1
21.6, 4.119, 19, 1 0 0
25.9, 3.438, 18, 1 0 1
34.0, 2.639, 100, 1 1 1
36.1, 2.487, 28, 1 0 2
42.5, 2.129, 68, 1 1 2
44.0, 2.060, 48, 2 0 0
46.4, 1.956, 18, 2 0 1
58.2, 1.586, 14, 2 1 2
63.9, 1.456, 16, 2 2 0
74.4, 1.275, 20, 3 1 1
79.8, 1.202, 21, 3 1 2

Atomic structure:
```
data_ErSiGeRh2
_chemical_formula_sum 'Er1 Si1 Ge1 Rh2'
_symmetry_space_group_name_H-M 'P 4 m m'
_symmetry_Int_Tables_number 99
_cell_length_a 4.1192
_cell_length_b 4.1192
_cell_length_c 6.2391
_cell_angle_alpha 90.00
_cell_angle_beta 90.00
_cell_angle_gamma 90.00
loop_
_symmetry_equiv_pos_as_xyz
'x,y,z'
'-y,x,z'
'-x,-y,z'
'y,-x,z'
'-x,y,z'
'y,x,z'
'x,-y,z'
'-y,-x,z'
loop_
_atom_site_label
_atom_site_type_symbol
_atom_site_fract_x
_atom_site_fract_y
_atom_site_fract_z
Er1 Er 0.0000 0.0000 0.0000
Si1 Si 0.0000 0.0000 0.5401
Ge1 Ge 0.5000 0.5000 0.1226
Rh1 Rh 0.0000 0.5000 0.3526
```



(5)
Starting from a crystal structure in Alexandria, relaxed with GGA-PBE, the XRD peak list of ErTcGe2Rh was simulated for CuKα.
Intensities are scaled so that the largest is 100.

Largest 12 diffraction maxima, sorted by position, 10° ≤ 2θ ≤ 80°:
2θ/deg, d (Å), Rel. int., index
34.4, 2.608, 60, 1 0 3
34.8, 2.578, 100, 1 1 2
36.4, 2.469, 8, 0 0 4
42.3, 2.137, 59, 2 0 0
47.6, 1.912, 11, 1 1 4
50.9, 1.793, 17, 1 0 5
55.6, 1.653, 30, 2 1 3
57.0, 1.616, 9, 2 0 4
61.3, 1.511, 19, 2 2 0
64.5, 1.445, 19, 1 1 6
68.3, 1.374, 14, 2 1 5
72.5, 1.304, 23, 3 1 2

Atomic structure:
```
data_ErTcGe2Rh
_chemical_formula_sum 'Er2 Tc2 Ge4 Rh2'
_symmetry_space_group_name_H-M 'I -4 m 2'
_symmetry_Int_Tables_number 119
_symmetry_space_group_name_Hall 'I -4 -2'
_cell_length_a 4.2741
_cell_length_b 4.2741
_cell_length_c 9.8748
_cell_angle_alpha 90.00
_cell_angle_beta 90.00
_cell_angle_gamma 90.00
loop_
_atom_site_label
_atom_site_type_symbol
_atom_site_fract_x
_atom_site_fract_y
_atom_site_fract_z
Er1 Er 0.0000 0.0000 0.0000
Tc1 Tc 0.0000 0.5000 0.2500
Ge1 Ge 0.0000 0.0000 0.3720
Rh1 Rh 0.0000 0.5000 0.7500
```



(6)
Starting from a crystal structure in Alexandria, relaxed with GGA-PBE, the XRD peak list of Er2TmGe2Rh5 was simulated for CuKα.
Intensities are scaled so that the largest is 100.

Largest 12 diffraction maxima, sorted by position, 10° ≤ 2θ ≤ 80°:
2θ/deg, d (Å), Rel. int., index
31.8, 2.813, 28, 2 1 1
35.6, 2.523, 28, 2 2 1
37.5, 2.399, 42, 4 1 0
37.9, 2.374, 100, 3 1 1
38.6, 2.332, 10, 3 3 0
40.8, 2.212, 23, 4 2 0
41.2, 2.192, 27, 3 2 1
50.1, 1.822, 21, 0 0 2
61.8, 1.502, 12, 6 0 1
64.2, 1.451, 17, 4 1 2
65.6, 1.422, 11, 5 4 1
66.5, 1.406, 11, 4 2 2

Atomic structure:
```
data_Er2TmGe2Rh5
_chemical_formula_sum 'Er4 Tm2 Ge4 Rh10'
_symmetry_space_group_name_H-M 'P 4/m b m'
_symmetry_Int_Tables_number 127
_symmetry_space_group_name_Hall '-P 4 2ab'
_cell_length_a 9.8931
_cell_length_b 9.8931
_cell_length_c 3.6443
_cell_angle_alpha 90.00
_cell_angle_beta 90.00
_cell_angle_gamma 90.00
loop_
_atom_site_label
_atom_site_type_symbol
_atom_site_fract_x
_atom_site_fract_y
_atom_site_fract_z
Er1 Er 0.1730 0.3270 0.0000
Tm1 Tm 0.0000 0.0000 0.0000
Ge1 Ge 0.1240 0.6240 0.0000
Rh1 Rh 0.0000 0.5000 0.5000
Rh2 Rh 0.0697 0.7852 0.5000
```



(7)
Starting from a crystal structure in Alexandria, relaxed with GGA-PBE, the XRD peak list of Er2ZrGe2Rh5 was simulated for CuKα.
Intensities are scaled so that the largest is 100.

Largest 12 diffraction maxima, sorted by position, 10° ≤ 2θ ≤ 80°:
2θ/deg, d (Å), Rel. int., index
31.9, 2.803, 33, 2 1 1
35.8, 2.511, 23, 2 2 1
37.9, 2.373, 52, 4 1 0
38.1, 2.360, 100, 3 1 1
39.1, 2.307, 19, 3 3 0
41.3, 2.188, 18, 4 2 0
41.5, 2.178, 33, 3 2 1
44.6, 2.032, 14, 4 0 1
50.0, 1.825, 23, 0 0 2
62.4, 1.489, 10, 6 0 1
64.4, 1.447, 22, 4 1 2
66.3, 1.410, 13, 5 4 1

Atomic structure:
```
data_Er2ZrGe2Rh5
_chemical_formula_sum 'Er4 Zr2 Ge4 Rh10'
_symmetry_space_group_name_H-M 'P 4/m b m'
_symmetry_Int_Tables_number 127
_symmetry_space_group_name_Hall '-P 4 2ab'
_cell_length_a 9.7859
_cell_length_b 9.7859
_cell_length_c 3.6493
_cell_angle_alpha 90.00
_cell_angle_beta 90.00
_cell_angle_gamma 90.00
loop_
_atom_site_label
_atom_site_type_symbol
_atom_site_fract_x
_atom_site_fract_y
_atom_site_fract_z
Er1 Er 0.1729 0.3271 0.0000
Zr1 Zr 0.0000 0.0000 0.0000
Ge1 Ge 0.1246 0.6246 0.0000
Rh1 Rh 0.0000 0.5000 0.5000
Rh2 Rh 0.0682 0.7902 0.5000
```



(8)
Starting from a crystal structure in Alexandria, relaxed with GGA-PBE, the XRD peak list of Er2GeRu2 was simulated for CuKα.
Intensities are scaled so that the largest is 100.

Largest 12 diffraction maxima, sorted by position, 10° ≤ 2θ ≤ 80°:
2θ/deg, d (Å), Rel. int., index
27.1, 3.286, 31, 1 1 0
34.4, 2.605, 100, 1 1 2
35.1, 2.555, 26, 0 1 3
37.5, 2.396, 43, 0 2 2
38.8, 2.318, 33, 1 0 3
39.9, 2.260, 58, 1 2 1
42.3, 2.136, 18, 0 0 4
45.4, 1.996, 29, 2 0 0
57.7, 1.598, 12, 0 3 3
58.7, 1.573, 15, 2 1 3
60.4, 1.534, 22, 2 2 2
67.9, 1.381, 32, 1 2 5

Atomic structure:
```
data_Er2GeRu2
_chemical_formula_sum 'Er4 Ge2 Ru4'
_symmetry_space_group_name_H-M 'I m m m'
_symmetry_Int_Tables_number 71
_symmetry_space_group_name_Hall '-I 2 2'
_cell_length_a 3.9918
_cell_length_b 5.7899
_cell_length_c 8.5436
_cell_angle_alpha 90.00
_cell_angle_beta 90.00
_cell_angle_gamma 90.00
loop_
_atom_site_label
_atom_site_type_symbol
_atom_site_fract_x
_atom_site_fract_y
_atom_site_fract_z
Er1 Er 0.0000 0.0000 0.2069
Ge1 Ge 0.0000 0.5000 0.0000
Ru1 Ru 0.0000 0.2725 0.5000
```



(9)
Starting from a crystal structure in Alexandria, relaxed with GGA-PBE, the XRD peak list of Er3Ge3Ru2 was simulated for CuKα.
Intensities are scaled so that the largest is 100.

Largest 12 diffraction maxima, sorted by position, 10° ≤ 2θ ≤ 80°:
2θ/deg, d (Å), Rel. int., index
27.8, 3.205, 20, 2 1 1
31.8, 2.812, 26, 1 4 1
33.6, 2.665, 100, 2 4 0
34.2, 2.619, 52, 1 1 2
36.9, 2.436, 30, 3 0 1
37.3, 2.411, 50, 2 4 1
37.5, 2.400, 23, 3 1 1
38.1, 2.359, 26, 0 6 0
38.8, 2.320, 61, 1 3 2
41.7, 2.164, 25, 3 3 1
47.7, 1.906, 30, 4 0 1
57.2, 1.611, 19, 1 7 2

Atomic structure:
```
data_Er3Ge3Ru2
_chemical_formula_sum 'Er12 Ge12 Ru8'
_symmetry_space_group_name_H-M 'P n m a'
_symmetry_Int_Tables_number 62
_cell_length_a 8.1006
_cell_length_b 14.1544
_cell_length_c 5.6434
_cell_angle_alpha 90.00
_cell_angle_beta 90.00
_cell_angle_gamma 90.00
loop_
_symmetry_equiv_pos_as_xyz
'x,y,z'
'-x,-y,-z'
'-x+1/2,-y,z+1/2'
'x+1/2,y,-z+1/2'
'x+1/2,-y+1/2,-z+1/2'
'-x+1/2,y+1/2,z+1/2'
'-x,y+1/2,-z'
'x,-y+1/2,z'
loop_
_atom_site_label
_atom_site_type_symbol
_atom_site_fract_x
_atom_site_fract_y
_atom_site_fract_z
Er1 Er 0.0425 0.1136 0.1154
Er2 Er 0.1835 0.2500 0.6304
Ge1 Ge 0.1648 0.7500 0.6092
Ge2 Ge 0.2012 0.0399 0.6316
Ru1 Ru 0.0798 0.5930 0.3940
```



(10)
Starting from a crystal structure in Alexandria, relaxed with GGA-PBE, the XRD peak list of ErScGeRu was simulated for CuKα.
Intensities are scaled so that the largest is 100.

Largest 8 diffraction maxima, sorted by position, 10° ≤ 2θ ≤ 80°:
2θ/deg, d (Å), Rel. int., index
22.9, 3.889, 24, 1 1 1
26.5, 3.368, 1, 2 0 0
37.8, 2.381, 100, 2 2 0
44.6, 2.031, 13, 3 1 1
54.5, 1.684, 17, 4 0 0
59.9, 1.545, 6, 3 3 1
68.2, 1.375, 34, 4 2 2
73.0, 1.296, 4, 5 1 1

Atomic structure:
```
data_ErScGeRu
_chemical_formula_sum 'Er4 Sc4 Ge4 Ru4'
_symmetry_space_group_name_H-M 'F -4 3 m'
_symmetry_Int_Tables_number 216
_symmetry_space_group_name_Hall 'F -4 2 3'
_cell_length_a 6.7355
_cell_length_b 6.7355
_cell_length_c 6.7355
_cell_angle_alpha 90.00
_cell_angle_beta 90.00
_cell_angle_gamma 90.00
loop_
_atom_site_label
_atom_site_type_symbol
_atom_site_fract_x
_atom_site_fract_y
_atom_site_fract_z
Er1 Er 0.0000 0.0000 0.0000
Sc1 Sc 0.0000 0.0000 0.5000
Ge1 Ge 0.2500 0.2500 0.7500
Ru1 Ru 0.2500 0.2500 0.2500
```



(11)
Starting from a crystal structure in Alexandria, relaxed with GGA-PBE, the XRD peak list of ErTmGeRu was simulated for CuKα.
Intensities are scaled so that the largest is 100.

Largest 8 diffraction maxima, sorted by position, 10° ≤ 2θ ≤ 80°:
2θ/deg, d (Å), Rel. int., index
22.4, 3.977, 1, 1 1 1
25.9, 3.444, 11, 2 0 0
36.9, 2.436, 100, 2 2 0
45.6, 1.989, 3, 2 2 2
53.2, 1.722, 17, 4 0 0
60.1, 1.540, 5, 4 2 0
66.5, 1.406, 35, 4 2 2
78.6, 1.218, 11, 4 4 0

Atomic structure:
```
data_ErTmGeRu
_chemical_formula_sum 'Er4 Tm4 Ge4 Ru4'
_symmetry_space_group_name_H-M 'F -4 3 m'
_symmetry_Int_Tables_number 216
_symmetry_space_group_name_Hall 'F -4 2 3'
_cell_length_a 6.8887
_cell_length_b 6.8887
_cell_length_c 6.8887
_cell_angle_alpha 90.00
_cell_angle_beta 90.00
_cell_angle_gamma 90.00
loop_
_atom_site_label
_atom_site_type_symbol
_atom_site_fract_x
_atom_site_fract_y
_atom_site_fract_z
Er1 Er 0.0000 0.0000 0.0000
Tm1 Tm 0.0000 0.0000 0.5000
Ge1 Ge 0.2500 0.2500 0.2500
Ru1 Ru 0.2500 0.2500 0.7500
```



(12)
Starting from a crystal structure in Alexandria, relaxed with GGA-PBE, the XRD peak list of Er2Ge2S7 was simulated for CuKα.
Intensities are scaled so that the largest is 100.

Largest 12 diffraction maxima, sorted by position, 10° ≤ 2θ ≤ 80°:
2θ/deg, d (Å), Rel. int., index
10.6, 8.348, 49, 1 0 -1
17.8, 4.977, 100, 1 1 -1
18.2, 4.873, 39, 1 0 -2
23.2, 3.831, 30, 1 1 -2
25.5, 3.499, 76, 2 1 0
25.7, 3.462, 24, 2 1 -2
28.1, 3.174, 28, 3 0 -1
31.2, 2.865, 27, 2 1 1
34.1, 2.627, 35, 1 2 1
34.6, 2.591, 55, 0 1 3
36.1, 2.489, 42, 2 2 -2
49.0, 1.859, 44, 4 0 1

Atomic structure:
```
data_Er2Ge2S7
_chemical_formula_sum 'Er4 Ge4 S14'
_symmetry_space_group_name_H-M 'P 1 21 1'
_symmetry_Int_Tables_number 4
_cell_length_a 9.6600
_cell_length_b 6.2002
_cell_length_c 9.7502
_cell_angle_alpha 90.00
_cell_angle_beta 118.67
_cell_angle_gamma 90.00
loop_
_symmetry_equiv_pos_as_xyz
'x,y,z'
'-x,y+1/2,-z'
loop_
_atom_site_label
_atom_site_type_symbol
_atom_site_fract_x
_atom_site_fract_y
_atom_site_fract_z
Er1 Er 0.1032 0.0000 0.2653
Er2 Er 0.3581 0.4813 0.1088
Ge1 Ge 0.1646 0.0632 0.8337
Ge2 Ge 0.4815 0.7119 0.4620
S1 S 0.0045 0.6999 0.3932
S2 S 0.0834 0.2336 0.9916
S3 S 0.1742 0.7027 0.8329
S4 S 0.2894 0.3951 0.3770
S5 S 0.3621 0.8798 0.2315
S6 S 0.3621 0.9288 0.5792
S7 S 0.4079 0.1941 0.9310
```